Computed powder XRD pattern
Compound: Pm5Sn2Pd
Radiation: λ = 1.5418 Å (Cu Kα)
Structure: a structure optimized by DFT (GGA-PBE)
Intensities are scaled so that the largest is 100.

The 12 most intense peaks (2θ = 10–80°), sorted by position:
15.93°, intensity 2, hkl 1 0 1
32.18°, intensity 100, hkl 2 0 2
32.55°, intensity 3, hkl 1 0 3
35.76°, intensity 40, hkl 2 2 0
40.30°, intensity 11, hkl 0 0 4
41.52°, intensity 3, hkl 2 1 3
51.47°, intensity 14, hkl 4 0 0
54.96°, intensity 18, hkl 2 2 4
62.01°, intensity 31, hkl 4 2 2
67.32°, intensity 10, hkl 4 0 4
68.17°, intensity 8, hkl 2 0 6
75.77°, intensity 5, hkl 4 4 0

Unit cell a=7.1015 b=7.1015 c=8.9528 alpha=90.00 beta=90.00 gamma=90.00
Space group I4mm (No. 107)
Unique sites:
Pm 0.0000 0.0000 0.0000
Pm 0.2469 0.2469 0.2629
Sn 0.0000 0.5000 0.0121
Pd 0.0000 0.0000 0.5801